No. 1
Calculated powder diffractogram
Compound: EuCd2
Radiation: CuKα
Structure: a cell relaxed with PBE

Crystal structure
Unit cell a=6.328 b=6.328 c=6.328 alpha=132.39 beta=102.72 gamma=96.06
Atoms (fractional coordinates):
Eu  0.299  0.049  0.250
Eu  0.701  0.951  0.750
Cd  0.109  0.665  0.444
Cd  0.279  0.335  0.944
Cd  0.721  0.665  0.056
Cd  0.891  0.335  0.556

Largest 6 diffraction maxima, in order of falling intensity, 5 to 70 degrees two-theta:
- 2θ = 30.49°, intensity 100
- 2θ = 36.38°, intensity 59
- 2θ = 29.65°, intensity 48
- 2θ = 35.13°, intensity 46
- 2θ = 30.97°, intensity 38
- 2θ = 35.70°, intensity 28



No. 2
Calculated powder diffractogram
Compound: EuCd11
Radiation: CuKα
Structure: a cell relaxed with PBE

Crystal structure
Unit cell a=9.437 b=9.437 c=9.437 alpha=99.89 beta=99.89 gamma=131.04
Atoms (fractional coordinates):
Eu  0.375  0.625  0.750
Eu  0.625  0.375  0.250
Cd  0.000  0.000  0.000
Cd  0.000  0.000  0.500
Cd  0.000  0.500  0.000
Cd  0.125  0.875  0.250
Cd  0.129  0.554  0.335
Cd  0.129  0.794  0.575
Cd  0.206  0.280  0.335
Cd  0.206  0.871  0.925
Cd  0.280  0.206  0.835
Cd  0.280  0.446  0.075
Cd  0.446  0.280  0.575
Cd  0.446  0.871  0.165
Cd  0.500  0.000  0.500
Cd  0.554  0.129  0.835
Cd  0.554  0.720  0.425
Cd  0.720  0.554  0.925
Cd  0.720  0.794  0.165
Cd  0.794  0.129  0.075
Cd  0.794  0.720  0.665
Cd  0.871  0.206  0.425
Cd  0.871  0.446  0.665
Cd  0.875  0.125  0.750

Largest 6 diffraction maxima, in order of falling intensity, 5 to 70 degrees two-theta:
- 2θ = 32.68°, intensity 100
- 2θ = 38.82°, intensity 90
- 2θ = 32.98°, intensity 74
- 2θ = 40.43°, intensity 38
- 2θ = 58.70°, intensity 36
- 2θ = 28.86°, intensity 36



No. 3
Calculated powder diffractogram
Compound: EuCd
Radiation: CuKα
Structure: a cell relaxed with PBE

Crystal structure
Unit cell a=3.984 b=3.984 c=3.984 alpha=90.00 beta=90.00 gamma=90.00
Atoms (fractional coordinates):
Eu  0.000  0.000  0.000
Cd  0.500  0.500  0.500

Largest 6 diffraction maxima, in order of falling intensity, 5 to 70 degrees two-theta:
- 2θ = 31.77°, intensity 100
- 2θ = 56.59°, intensity 38
- 2θ = 45.54°, intensity 18
- 2θ = 66.37°, intensity 12
- 2θ = 22.32°, intensity 2
- 2θ = 51.28°, intensity 1



No. 4
Calculated powder diffractogram
Compound: EuCdGe
Radiation: CuKα
Structure: a cell relaxed with PBE

Crystal structure
Unit cell a=7.597 b=4.580 c=8.620 alpha=90.00 beta=90.00 gamma=90.00
Atoms (fractional coordinates):
Eu  0.019  0.250  0.189
Eu  0.481  0.750  0.689
Eu  0.519  0.250  0.311
Eu  0.981  0.750  0.811
Cd  0.149  0.250  0.569
Cd  0.351  0.750  0.069
Cd  0.649  0.250  0.931
Cd  0.851  0.750  0.431
Ge  0.237  0.750  0.392
Ge  0.263  0.250  0.892
Ge  0.737  0.750  0.108
Ge  0.763  0.250  0.608

Largest 6 diffraction maxima, in order of falling intensity, 5 to 70 degrees two-theta:
- 2θ = 32.33°, intensity 100
- 2θ = 30.82°, intensity 76
- 2θ = 36.95°, intensity 75
- 2θ = 39.34°, intensity 52
- 2θ = 31.39°, intensity 29
- 2θ = 59.86°, intensity 28



No. 5
Calculated powder diffractogram
Compound: EuCdHg2
Radiation: CuKα
Structure: a cell relaxed with PBE

Crystal structure
Unit cell a=5.287 b=5.287 c=5.287 alpha=60.00 beta=60.00 gamma=60.00
Atoms (fractional coordinates):
Eu  0.000  0.000  0.000
Cd  0.500  0.500  0.500
Hg  0.250  0.250  0.250
Hg  0.750  0.750  0.750

Largest 6 diffraction maxima, in order of falling intensity, 5 to 70 degrees two-theta:
- 2θ = 33.91°, intensity 100
- 2θ = 60.68°, intensity 38
- 2θ = 48.72°, intensity 18
- 2θ = 23.80°, intensity 5
- 2θ = 54.92°, intensity 2
- 2θ = 41.85°, intensity 2



No. 6
Calculated powder diffractogram
Compound: LiEu2Cd
Radiation: CuKα
Structure: a cell relaxed with PBE

Crystal structure
Unit cell a=5.641 b=5.641 c=5.641 alpha=60.00 beta=60.00 gamma=60.00
Atoms (fractional coordinates):
Li  0.000  0.000  0.000
Eu  0.250  0.250  0.250
Eu  0.750  0.750  0.750
Cd  0.500  0.500  0.500

Largest 6 diffraction maxima, in order of falling intensity, 5 to 70 degrees two-theta:
- 2θ = 31.72°, intensity 100
- 2θ = 56.51°, intensity 38
- 2θ = 22.29°, intensity 22
- 2θ = 45.48°, intensity 18
- 2θ = 19.27°, intensity 15
- 2θ = 66.27°, intensity 12



No. 7
Calculated powder diffractogram
Compound: Eu2MgCd
Radiation: CuKα
Structure: a cell relaxed with PBE

Crystal structure
Unit cell a=5.605 b=5.605 c=5.605 alpha=60.00 beta=60.00 gamma=60.00
Atoms (fractional coordinates):
Eu  0.250  0.250  0.250
Eu  0.750  0.750  0.750
Mg  0.000  0.000  0.000
Cd  0.500  0.500  0.500

Largest 6 diffraction maxima, in order of falling intensity, 5 to 70 degrees two-theta:
- 2θ = 31.93°, intensity 100
- 2θ = 56.91°, intensity 38
- 2θ = 45.79°, intensity 18
- 2θ = 22.43°, intensity 16
- 2θ = 66.76°, intensity 12
- 2θ = 19.40°, intensity 9



No. 8
Calculated powder diffractogram
Compound: EuCdO3
Radiation: CuKα
Structure: a cell relaxed with PBE

Crystal structure
Unit cell a=4.163 b=4.163 c=4.163 alpha=90.00 beta=90.00 gamma=90.00
Atoms (fractional coordinates):
Eu  0.000  0.000  0.000
Cd  0.500  0.500  0.500
O  0.000  0.500  0.500
O  0.500  0.000  0.500
O  0.500  0.500  0.000

Largest 6 diffraction maxima, in order of falling intensity, 5 to 70 degrees two-theta:
- 2θ = 30.36°, intensity 100
- 2θ = 53.95°, intensity 40
- 2θ = 43.47°, intensity 29
- 2θ = 63.17°, intensity 18
- 2θ = 37.41°, intensity 5
- 2θ = 21.34°, intensity 1



No. 9
Calculated powder diffractogram
Compound: EuCd2P2
Radiation: CuKα
Structure: a cell relaxed with PBE

Crystal structure
Unit cell a=4.358 b=4.358 c=7.147 alpha=90.00 beta=90.00 gamma=120.00
Atoms (fractional coordinates):
Eu  0.000  0.000  0.000
Cd  0.333  0.667  0.363
Cd  0.667  0.333  0.637
P  0.333  0.667  0.755
P  0.667  0.333  0.245

Largest 6 diffraction maxima, in order of falling intensity, 5 to 70 degrees two-theta:
- 2θ = 26.71°, intensity 100
- 2θ = 34.57°, intensity 68
- 2θ = 41.44°, intensity 50
- 2θ = 57.30°, intensity 22
- 2θ = 49.99°, intensity 18
- 2θ = 55.04°, intensity 17



No. 10
Calculated powder diffractogram
Compound: EuCdPb
Radiation: CuKα
Structure: a cell relaxed with PBE

Crystal structure
Unit cell a=5.094 b=5.094 c=7.984 alpha=90.00 beta=90.00 gamma=120.00
Atoms (fractional coordinates):
Eu  0.000  0.000  0.000
Eu  0.000  0.000  0.500
Cd  0.333  0.667  0.201
Cd  0.667  0.333  0.701
Pb  0.333  0.667  0.792
Pb  0.667  0.333  0.292

Largest 6 diffraction maxima, in order of falling intensity, 5 to 70 degrees two-theta:
- 2θ = 30.19°, intensity 100
- 2θ = 35.24°, intensity 89
- 2θ = 47.07°, intensity 29
- 2θ = 60.14°, intensity 28
- 2θ = 39.55°, intensity 27
- 2θ = 23.03°, intensity 26



No. 11
Calculated powder diffractogram
Compound: Eu2CdPb
Radiation: CuKα
Structure: a cell relaxed with PBE

Crystal structure
Unit cell a=5.669 b=5.669 c=5.669 alpha=60.00 beta=60.00 gamma=60.00
Atoms (fractional coordinates):
Eu  0.250  0.250  0.250
Eu  0.750  0.750  0.750
Cd  0.000  0.000  0.000
Pb  0.500  0.500  0.500

Largest 6 diffraction maxima, in order of falling intensity, 5 to 70 degrees two-theta:
- 2θ = 31.57°, intensity 100
- 2θ = 56.21°, intensity 39
- 2θ = 45.24°, intensity 19
- 2θ = 65.91°, intensity 12
- 2θ = 19.18°, intensity 4
- 2θ = 37.20°, intensity 3



No. 12
Calculated powder diffractogram
Compound: EuCdPd
Radiation: CuKα
Structure: a cell relaxed with PBE

Crystal structure
Unit cell a=7.482 b=4.393 c=8.797 alpha=90.00 beta=90.00 gamma=90.00
Atoms (fractional coordinates):
Eu  0.036  0.250  0.181
Eu  0.464  0.750  0.681
Eu  0.536  0.250  0.319
Eu  0.964  0.750  0.819
Cd  0.141  0.250  0.562
Cd  0.359  0.750  0.062
Cd  0.641  0.250  0.938
Cd  0.859  0.750  0.438
Pd  0.240  0.750  0.371
Pd  0.260  0.250  0.871
Pd  0.740  0.750  0.129
Pd  0.760  0.250  0.629

Largest 6 diffraction maxima, in order of falling intensity, 5 to 70 degrees two-theta:
- 2θ = 33.06°, intensity 100
- 2θ = 31.16°, intensity 77
- 2θ = 41.09°, intensity 49
- 2θ = 31.40°, intensity 48
- 2θ = 36.85°, intensity 39
- 2θ = 59.91°, intensity 37



No. 13
Calculated powder diffractogram
Compound: EuCdPt
Radiation: CuKα
Structure: a cell relaxed with PBE

Crystal structure
Unit cell a=7.469 b=4.410 c=8.696 alpha=90.00 beta=90.00 gamma=90.00
Atoms (fractional coordinates):
Eu  0.034  0.250  0.179
Eu  0.466  0.750  0.679
Eu  0.534  0.250  0.321
Eu  0.966  0.750  0.821
Cd  0.141  0.250  0.563
Cd  0.359  0.750  0.063
Cd  0.641  0.250  0.937
Cd  0.859  0.750  0.437
Pt  0.238  0.750  0.373
Pt  0.262  0.250  0.873
Pt  0.738  0.750  0.127
Pt  0.762  0.250  0.627

Largest 6 diffraction maxima, in order of falling intensity, 5 to 70 degrees two-theta:
- 2θ = 33.09°, intensity 100
- 2θ = 31.28°, intensity 45
- 2θ = 40.93°, intensity 34
- 2θ = 37.12°, intensity 31
- 2θ = 39.10°, intensity 31
- 2θ = 41.81°, intensity 27



No. 14
Calculated powder diffractogram
Compound: EuCd3S4
Radiation: CuKα
Structure: a cell relaxed with PBE

Crystal structure
Unit cell a=14.258 b=14.258 c=14.258 alpha=17.41 beta=17.41 gamma=17.41
Atoms (fractional coordinates):
Eu  0.000  0.000  0.000
Cd  0.248  0.248  0.248
Cd  0.501  0.501  0.501
Cd  0.755  0.755  0.755
S  0.187  0.187  0.187
S  0.440  0.440  0.440
S  0.694  0.694  0.694
S  0.934  0.934  0.934

Largest 6 diffraction maxima, in order of falling intensity, 5 to 70 degrees two-theta:
- 2θ = 25.31°, intensity 100
- 2θ = 49.58°, intensity 34
- 2θ = 41.87°, intensity 29
- 2θ = 41.98°, intensity 26
- 2θ = 29.31°, intensity 25
- 2θ = 49.69°, intensity 10



No. 15
Calculated powder diffractogram
Compound: EuCd2Sb2
Radiation: CuKα
Structure: a cell relaxed with PBE

Crystal structure
Unit cell a=4.768 b=4.768 c=7.700 alpha=90.00 beta=90.00 gamma=120.00
Atoms (fractional coordinates):
Eu  0.000  0.000  0.000
Cd  0.333  0.667  0.634
Cd  0.667  0.333  0.366
Sb  0.333  0.667  0.244
Sb  0.667  0.333  0.756

Largest 6 diffraction maxima, in order of falling intensity, 5 to 70 degrees two-theta:
- 2θ = 31.78°, intensity 100
- 2θ = 37.73°, intensity 96
- 2θ = 24.46°, intensity 82
- 2θ = 41.42°, intensity 41
- 2θ = 50.14°, intensity 27
- 2θ = 64.42°, intensity 25